Record 1
The following is a simulated PXRD pattern of Al2AsH6. It was derived from a DFT-relaxed cell (PBE, Alexandria), using copper Kα.

Largest 10 diffraction maxima, sorted by position, 10 to 90 degrees two-theta:
2theta  d/Å  Rel. int.
21.4  4.146  90.2
35.3  2.539  100.0
41.7  2.165  45.2
50.9  1.795  19.7
55.8  1.648  18.7
63.5  1.466  36.0
67.8  1.382  14.1
74.8  1.270  11.9
78.8  1.214  13.8
85.5  1.136  15.9

Atomic structure:
abc: 7.182 7.182 7.182
angles: 90.00 90.00 90.00
Space group Fm-3m (No. 225)
Symmetry-distinct sites (fractional):
Al: 0.250 0.250 0.250 [8 per cell]
As: 0.000 0.000 0.000 [4 per cell]
H: 0.000 0.000 0.237 [24 per cell]



Record 2
The following is a simulated PXRD pattern of Al2HgAs. It was derived from a DFT-relaxed cell (PBE, Alexandria), using copper Kα.

Largest 10 diffraction maxima, sorted by position, 10 to 90 degrees two-theta:
2theta  d/Å  Rel. int.
16.5  5.386  23.9
26.5  3.363  100.0
28.1  3.178  27.0
32.7  2.737  12.1
40.1  2.247  22.7
45.8  1.982  31.4
48.7  1.869  38.5
58.3  1.582  11.3
73.2  1.293  11.6
76.9  1.240  13.4

Atomic structure:
abc: 6.356 6.356 10.139
angles: 90.00 90.00 90.00
Space group I-42d (No. 122)
Symmetry-distinct sites (fractional):
Al: 0.226 0.250 0.125 [8 per cell]
Hg: 0.000 0.000 0.500 [4 per cell]
As: 0.000 0.000 0.000 [4 per cell]